# Sr2CdSbAs
Calculated powder X-ray diffraction pattern, Cu Ka. Input: a PBE-relaxed structure.
Kinematic intensities with the Lorentz-polarization factor, no thermal factor.

Main lines, by angle (10° ≤ 2θ ≤ 90°):
2θ (°), I (rel.), h k l
15.40, 352, 0 2 1
23.85, 310, 0 0 2
24.22, 201, 1 3 0
25.83, 283, 0 2 2
27.05, 334, 1 3 1
31.13, 449, 0 4 2
31.37, 1000, 1 5 0
34.25, 974, 1 3 2
38.85, 464, 2 0 0
41.80, 260, 1 7 1

Cell and atoms:
Unit cell a=4.6364 b=18.0815 c=7.4629 alpha=90.00 beta=90.00 gamma=90.00
Space group Cmc2_1 (No. 36)
Inequivalent atoms, fractional coordinates:
Sr (0.0000, 0.0236, 0.0000) x4
Sr (0.0000, 0.1920, 0.3061) x4
Cd (0.0000, 0.4038, 0.1562) x4
Sb (0.0000, 0.1763, 0.7689) x4
As (0.0000, 0.4393, 0.7867) x4

***

# Cd2SiSnAs4
Calculated powder X-ray diffraction pattern, Cu Ka. Input: a PBE-relaxed structure.
Kinematic intensities with the Lorentz-polarization factor, no thermal factor.

Main lines, by angle (10° ≤ 2θ ≤ 90°):
2θ (°), I (rel.), h k l
25.80, 1000, 1 1 2
33.83, 67, 2 1 1
41.99, 254, 2 2 0
43.14, 474, 2 0 4
49.94, 303, 3 1 2
51.94, 142, 1 1 6
60.89, 78, 4 0 0
68.91, 131, 3 1 6
77.51, 148, 4 2 4
79.90, 70, 2 2 8

Cell and atoms:
Unit cell a=6.0859 b=6.0859 c=11.5745 alpha=90.00 beta=90.00 gamma=90.00
Space group I-4 (No. 82)
Inequivalent atoms, fractional coordinates:
Cd (0.0000, 0.0000, 0.0000) x2
Cd (0.0000, 0.5000, 0.2500) x2
Si (0.0000, 0.0000, 0.5000) x2
Sn (0.0000, 0.5000, 0.7500) x2
As (0.2284, 0.2302, 0.6162) x8

***

# TaCdAs
Calculated powder X-ray diffraction pattern, Cu Ka. Input: a PBE-relaxed structure.
Kinematic intensities with the Lorentz-polarization factor, no thermal factor.

Main lines, by angle (10° ≤ 2θ ≤ 90°):
2θ (°), I (rel.), h k l
24.08, 597, 1 1 1
39.83, 1000, 2 2 0
47.08, 302, 3 1 1
57.59, 168, 4 0 0
63.32, 125, 3 3 1
72.30, 339, 4 2 2
77.47, 94, 5 1 1
85.87, 110, 4 4 0

Cell and atoms:
Unit cell a=6.4022 b=6.4022 c=6.4022 alpha=90.00 beta=90.00 gamma=90.00
Space group F-43m (No. 216)
Inequivalent atoms, fractional coordinates:
Ta (0.0000, 0.0000, 0.0000) x4
Cd (0.2500, 0.2500, 0.2500) x4
As (0.2500, 0.2500, 0.7500) x4

***

# Cd2AsW
Calculated powder X-ray diffraction pattern, Cu Ka. Input: a PBE-relaxed structure.
Kinematic intensities with the Lorentz-polarization factor, no thermal factor.

Main lines, by angle (10° ≤ 2θ ≤ 90°):
2θ (°), I (rel.), h k l
23.08, 57, 1 1 1
26.71, 56, 2 0 0
38.13, 1000, 2 2 0
45.05, 31, 3 1 1
47.17, 17, 2 2 2
55.03, 169, 4 0 0
60.46, 14, 3 3 1
62.20, 23, 4 2 0
68.92, 341, 4 2 2
81.59, 108, 4 4 0

Cell and atoms:
Unit cell a=6.6748 b=6.6748 c=6.6748 alpha=90.00 beta=90.00 gamma=90.00
Space group F-43m (No. 216)
Inequivalent atoms, fractional coordinates:
Cd (0.0000, 0.0000, 0.0000) x4
Cd (0.2500, 0.2500, 0.2500) x4
As (0.0000, 0.0000, 0.5000) x4
W (0.2500, 0.2500, 0.7500) x4